Starting from a DFT-relaxed cell (GGA-PBE, Alexandria), the powder XRD pattern of Tb2Y7 was calculated for Cu Kα, 1.54184 Å.
Kinematic intensities with the Lorentz-polarization factor, no thermal factor.

Peak list (8 most intense, 5° ≤ 2θ ≤ 70°, low angle first)
hkl  2theta  I_rel
0 0 1  10.12  6
1 0 1  19.44  2
1 1 0  28.89  2
1 1 1  30.68  100
2 -1 2  35.57  50
3 0 0  51.19  35
3 0 3  60.87  41
2 2 2  63.89  12

Cell and atoms:
Cell lengths 6.181, 6.181, 8.745 Å; angles 90.00, 90.00, 120.00 degrees
Positions (direct):
Tb1 0.333 0.667 0.000
Tb2 0.667 0.333 0.000
Y1 0.000 0.000 0.000
Y2 0.000 0.334 0.667
Y3 0.000 0.666 0.333
Y4 0.334 0.000 0.667
Y5 0.334 0.334 0.333
Y6 0.666 0.000 0.333
Y7 0.666 0.666 0.667